Starting from a crystal structure in the Materials Project, relaxed with GGA-PBE, the X-ray diffraction stick pattern of HfPd was calculated for Cu Ka.
Neutral-atom scattering factors, no anomalous dispersion.

Most intense lines, 2θ from 10° to 90°, sorted by position:
index	d_spacing	2theta	I (rel.)
0 2 1	3.353	26.6	14
0 4 0	2.585	34.7	34
1 1 1	2.554	35.1	100
1 3 0	2.380	37.8	23
0 4 1	2.230	40.5	23
0 0 2	2.203	41.0	35
1 3 1	2.094	43.2	49
0 4 2	1.677	54.8	19
1 3 2	1.616	57.0	14
1 7 2	1.149	84.2	17

Crystal structure
```
data_HfPd
_cell_length_a 3.289
_cell_length_b 10.341
_cell_length_c 4.405
_cell_angle_alpha 90.00
_cell_angle_beta 90.00
_cell_angle_gamma 90.00
_symmetry_space_group_name_H-M 'C m c m'
_symmetry_Int_Tables_number 63
_symmetry_space_group_name_Hall '-C 2c 2'
loop_
_atom_site_label
_atom_site_type_symbol
_atom_site_fract_x
_atom_site_fract_y
_atom_site_fract_z
Hf1 Hf 0.000 0.143 0.250
Pd1 Pd 0.000 0.411 0.250
```

---

Starting from a crystal structure in the Materials Project, relaxed with GGA-PBE, the X-ray diffraction stick pattern of In2Hg8As5Br7 was calculated for Cu Ka.
Neutral-atom scattering factors, no anomalous dispersion.

Most intense lines, 2θ from 10° to 90°, sorted by position:
index	d_spacing	2theta	I (rel.)
0 0 2	7.037	12.6	21
0 1 1	6.289	14.1	20
0 0 4	3.519	25.3	79
2 0 1	3.409	26.1	39
2 0 2	3.145	28.4	100
2 0 4	2.487	36.1	27
2 2 0	2.029	44.7	50
0 2 6	1.952	46.5	51
2 2 4	1.758	52.0	40
2 4 6	1.156	83.7	19

Crystal structure
```
data_In2Hg8As5Br7
_cell_length_a 8.1143
_cell_length_b 8.1143
_cell_length_c 14.0922
_cell_angle_alpha 90.00
_cell_angle_beta 90.00
_cell_angle_gamma 120.00
_symmetry_space_group_name_H-M 'P -3 m 1'
_symmetry_Int_Tables_number 164
_symmetry_space_group_name_Hall '-P 3 2"'
loop_
_atom_site_label
_atom_site_type_symbol
_atom_site_fract_x
_atom_site_fract_y
_atom_site_fract_z
In1 In 0.0000 0.0000 0.1871
Hg1 Hg 0.0000 0.5000 0.0000
Hg2 Hg 0.0000 0.5000 0.5000
Hg3 Hg 0.3333 0.6667 0.2508
As1 As 0.0000 0.0000 0.0000
As2 As 0.3333 0.6667 0.0696
As3 As 0.3333 0.6667 0.4322
Br1 Br 0.0000 0.0000 0.5000
Br2 Br 0.1721 0.3441 0.7504
```

---

Starting from a crystal structure in the Materials Project, relaxed with GGA-PBE, the X-ray diffraction stick pattern of CuN2Cl4 was calculated for Cu Ka.
Neutral-atom scattering factors, no anomalous dispersion.

Most intense lines, 2θ from 10° to 90°, sorted by position:
index	d_spacing	2theta	I (rel.)
2 0 0	7.210	12.3	71
1 1 1	5.049	17.6	100
0 2 0	3.812	23.3	31
0 2 2	2.695	33.2	44
5 1 1	2.543	35.3	10
2 2 2	2.525	35.6	12
6 0 0	2.403	37.4	15
1 3 1	2.378	37.8	16
6 2 2	1.794	50.9	20
1 3 3	1.783	51.2	10

Crystal structure
```
data_CuN2Cl4
_cell_length_a 14.420
_cell_length_b 7.632
_cell_length_c 7.616
_cell_angle_alpha 90.00
_cell_angle_beta 90.00
_cell_angle_gamma 90.00
_symmetry_space_group_name_H-M 'C m c e'
_symmetry_Int_Tables_number 64
_symmetry_space_group_name_Hall '-C 2ac 2'
loop_
_atom_site_label
_atom_site_type_symbol
_atom_site_fract_x
_atom_site_fract_y
_atom_site_fract_z
Cu1 Cu 0.000 0.000 0.000
N1 N 0.144 0.000 0.500
Cl1 Cl 0.000 0.199 0.200
Cl2 Cl 0.149 0.000 0.000
```

---

Starting from a crystal structure in the Materials Project, relaxed with GGA-PBE, the X-ray diffraction stick pattern of Lu5Pt4 was calculated for Cu Ka.
Neutral-atom scattering factors, no anomalous dispersion.

Most intense lines, 2θ from 10° to 90°, sorted by position:
index	d_spacing	2theta	I (rel.)
1 3 2	2.733	32.8	100
2 3 1	2.719	32.9	41
2 0 2	2.601	34.5	65
2 4 0	2.583	34.7	22
1 5 1	2.547	35.2	29
0 6 0	2.437	36.9	88
3 0 1	2.316	38.9	35
1 1 3	2.309	39.0	51
3 1 1	2.286	39.4	38
0 8 0	1.825	50.0	26

Crystal structure
```
data_Lu5Pt4
_cell_length_a 7.314
_cell_length_b 14.600
_cell_length_c 7.405
_cell_angle_alpha 90.00
_cell_angle_beta 90.00
_cell_angle_gamma 90.00
_symmetry_space_group_name_H-M 'P n m a'
_symmetry_Int_Tables_number 62
loop_
_symmetry_equiv_pos_as_xyz
'x,y,z'
'-x,-y,-z'
'-x+1/2,-y,z+1/2'
'x+1/2,y,-z+1/2'
'x+1/2,-y+1/2,-z+1/2'
'-x+1/2,y+1/2,z+1/2'
'-x,y+1/2,-z'
'x,-y+1/2,z'
loop_
_atom_site_label
_atom_site_type_symbol
_atom_site_fract_x
_atom_site_fract_y
_atom_site_fract_z
Lu1 Lu 0.028 0.099 0.175
Lu2 Lu 0.125 0.619 0.336
Lu3 Lu 0.209 0.250 0.496
Pt1 Pt 0.076 0.250 0.877
Pt2 Pt 0.159 0.750 0.642
Pt3 Pt 0.212 0.044 0.526
```

---

Starting from a crystal structure in the Materials Project, relaxed with GGA-PBE, the X-ray diffraction stick pattern of AgBi3PbS6 was calculated for Cu Ka.
Neutral-atom scattering factors, no anomalous dispersion.

Most intense lines, 2θ from 10° to 90°, sorted by position:
index	d_spacing	2theta	I (rel.)
1 1 2	3.671	24.2	40
0 2 5	3.456	25.8	100
1 1 3	3.396	26.2	56
1 3 1	3.027	29.5	43
1 3 2	2.928	30.5	80
1 5 3	2.162	41.8	26
1 1 8	2.112	42.8	27
0 6 4	2.079	43.5	39
2 0 0	2.060	44.0	27
2 2 5	1.770	51.6	37

Crystal structure
```
data_AgBi3PbS6
_cell_length_a 4.120
_cell_length_b 13.727
_cell_length_c 20.001
_cell_angle_alpha 90.00
_cell_angle_beta 90.00
_cell_angle_gamma 90.00
_symmetry_space_group_name_H-M 'C m c 21'
_symmetry_Int_Tables_number 36
loop_
_symmetry_equiv_pos_as_xyz
'x,y,z'
'-x,-y,z+1/2'
'-x,y,z'
'x,-y,z+1/2'
'x+1/2,y+1/2,z'
'-x+1/2,-y+1/2,z+1/2'
'-x+1/2,y+1/2,z'
'x+1/2,-y+1/2,z+1/2'
loop_
_atom_site_label
_atom_site_type_symbol
_atom_site_fract_x
_atom_site_fract_y
_atom_site_fract_z
Ag1 Ag 0.000 0.061 0.000
Bi1 Bi 0.000 0.100 0.781
Bi2 Bi 0.000 0.356 0.085
Bi3 Bi 0.000 0.370 0.684
Pb1 Pb 0.000 0.177 0.397
S1 S 0.000 0.016 0.133
S2 S 0.000 0.175 0.900
S3 S 0.000 0.261 0.550
S4 S 0.000 0.262 0.235
S5 S 0.000 0.444 0.972
S6 S 0.000 0.464 0.803
```

---

Starting from a crystal structure in the Materials Project, relaxed with GGA-PBE, the X-ray diffraction stick pattern of Y2MgSe4 was calculated for Cu Ka.
Neutral-atom scattering factors, no anomalous dispersion.

Most intense lines, 2θ from 10° to 90°, sorted by position:
index	d_spacing	2theta	I (rel.)
1 1 1	6.757	13.1	34
3 1 1	3.529	25.2	32
2 2 2	3.379	26.4	16
4 0 0	2.926	30.6	100
5 1 1	2.252	40.0	18
4 4 0	2.069	43.8	89
4 4 4	1.689	54.3	25
8 0 0	1.463	63.6	14
8 4 0	1.309	72.2	31
8 4 4	1.195	80.4	28

Crystal structure
Cell lengths 11.704, 11.704, 11.704 Å; angles 90.00, 90.00, 90.00 degrees
Space group Fd-3m (No. 227, origin choice 2)
Symmetry-distinct sites (fractional):
Y 0.000 0.000 0.000 x16
Mg 0.125 0.125 0.625 x8
Se 0.004 0.004 0.246 x32

---

Starting from a crystal structure in the Materials Project, relaxed with GGA-PBE, the X-ray diffraction stick pattern of MgCr2S4 was calculated for Cu Ka.
Neutral-atom scattering factors, no anomalous dispersion.

Most intense lines, 2θ from 10° to 90°, sorted by position:
index	d_spacing	2theta	I (rel.)
1 1 1	5.891	15.0	77
3 1 1	3.076	29.0	71
4 0 0	2.551	35.2	100
5 1 1	1.964	46.2	49
4 4 0	1.804	50.6	94
5 3 1	1.725	53.1	13
4 4 4	1.473	63.1	18
5 5 3	1.328	71.0	12
8 0 0	1.275	74.4	12
8 4 0	1.141	85.0	20

Crystal structure
Cell lengths 10.203, 10.203, 10.203 Å; angles 90.00, 90.00, 90.00 degrees
Space group Fd-3m (No. 227, origin choice 2)
Symmetry-distinct sites (fractional):
Mg 0.125 0.125 0.125 x8
Cr 0.000 0.000 0.500 x16
S 0.013 0.013 0.737 x32

---

Please write out number 5 again, unchanged.
Starting from a crystal structure in the Materials Project, relaxed with GGA-PBE, the X-ray diffraction stick pattern of AgBi3PbS6 was calculated for Cu Ka.
Neutral-atom scattering factors, no anomalous dispersion.

Most intense lines, 2θ from 10° to 90°, sorted by position:
index	d_spacing	2theta	I (rel.)
1 1 2	3.671	24.2	40
0 2 5	3.456	25.8	100
1 1 3	3.396	26.2	56
1 3 1	3.027	29.5	43
1 3 2	2.928	30.5	80
1 5 3	2.162	41.8	26
1 1 8	2.112	42.8	27
0 6 4	2.079	43.5	39
2 0 0	2.060	44.0	27
2 2 5	1.770	51.6	37

Crystal structure
```
data_AgBi3PbS6
_cell_length_a 4.120
_cell_length_b 13.727
_cell_length_c 20.001
_cell_angle_alpha 90.00
_cell_angle_beta 90.00
_cell_angle_gamma 90.00
_symmetry_space_group_name_H-M 'C m c 21'
_symmetry_Int_Tables_number 36
loop_
_symmetry_equiv_pos_as_xyz
'x,y,z'
'-x,-y,z+1/2'
'-x,y,z'
'x,-y,z+1/2'
'x+1/2,y+1/2,z'
'-x+1/2,-y+1/2,z+1/2'
'-x+1/2,y+1/2,z'
'x+1/2,-y+1/2,z+1/2'
loop_
_atom_site_label
_atom_site_type_symbol
_atom_site_fract_x
_atom_site_fract_y
_atom_site_fract_z
Ag1 Ag 0.000 0.061 0.000
Bi1 Bi 0.000 0.100 0.781
Bi2 Bi 0.000 0.356 0.085
Bi3 Bi 0.000 0.370 0.684
Pb1 Pb 0.000 0.177 0.397
S1 S 0.000 0.016 0.133
S2 S 0.000 0.175 0.900
S3 S 0.000 0.261 0.550
S4 S 0.000 0.262 0.235
S5 S 0.000 0.444 0.972
S6 S 0.000 0.464 0.803
```